Record 1
# Ti4NbC4
Computed powder X-ray diffraction pattern, Cu Kα X-rays. Input: a GGA-PBE-relaxed structure.
Neutral-atom scattering factors, no anomalous dispersion.

Most intense lines, 2θ = 15–90°, by angle:
2θ = 24.28°, rel. 24, (1 0 1)
2θ = 35.60°, rel. 100, (2 1 1)
2θ = 41.06°, rel. 60, (1 3 0)
2θ = 41.88°, rel. 28, (0 0 2)
2θ = 58.81°, rel. 5, (1 4 1)
2θ = 59.47°, rel. 17, (4 2 0)
2θ = 60.10°, rel. 35, (1 3 2)
2θ = 71.27°, rel. 24, (5 0 1)
2θ = 72.41°, rel. 12, (2 1 3)
2θ = 75.37°, rel. 15, (4 2 2)

Cell and atoms:
a b c (Å): 6.951 6.951 4.314
angles (deg): 90.00 90.00 90.00
Space group I4/m (No. 87)
Inequivalent atoms, fractional coordinates:
Ti 0.111 0.315 0.000 (multiplicity 8)
Nb 0.000 0.000 0.500 (multiplicity 2)
C 0.100 0.300 0.500 (multiplicity 8)

Record 2
# TmNb3C4
Computed powder X-ray diffraction pattern, Cu Kα X-rays. Input: a GGA-PBE-relaxed structure.
Neutral-atom scattering factors, no anomalous dispersion.

Most intense lines, 2θ = 15–90°, by angle:
2θ = 33.68°, rel. 71, (2 2 0)
2θ = 33.92°, rel. 69, (0 2 1)
2θ = 39.23°, rel. 100, (2 0 1)
2θ = 56.35°, rel. 11, (4 0 0)
2θ = 56.69°, rel. 44, (2 4 1)
2θ = 56.99°, rel. 11, (0 0 2)
2θ = 67.42°, rel. 19, (4 2 1)
2θ = 67.86°, rel. 19, (2 2 2)
2θ = 70.82°, rel. 11, (4 4 0)
2θ = 71.39°, rel. 11, (0 4 2)

Cell and atoms:
a b c (Å): 6.531 9.182 3.232
angles (deg): 90.00 90.00 90.00
Space group Cmmm (No. 65)
Inequivalent atoms, fractional coordinates:
Tm 0.000 0.000 0.000 (multiplicity 2)
Nb 0.000 0.500 0.000 (multiplicity 2)
Nb 0.250 0.250 0.500 (multiplicity 4)
C 0.000 0.256 0.000 (multiplicity 4)
C 0.235 0.500 0.500 (multiplicity 4)